Entry 1:
# Na2GaGeP3O12
Computed X-ray diffraction stick pattern, Cu Kα X-rays. Input: a crystal structure in the Materials Project, relaxed with GGA-PBE.

Top 10 peaks for 10° ≤ 2θ ≤ 90°, low angle first:
14.44 deg, intensity 41; 20.21 deg, intensity 95; 20.77 deg, intensity 63; 20.88 deg, intensity 40; 24.13 deg, intensity 72; 24.22 deg, intensity 34; 29.21 deg, intensity 50; 32.26 deg, intensity 66; 32.33 deg, intensity 100; 36.51 deg, intensity 41

```
Na2GaGeP3O12
1.0
7.4212 -4.2550 0.0000
7.4212 4.2550 0.0000
-4.9344 0.0000 7.2849
Na Ga Ge P O
4 2 2 6 24
Direct
0.0020 0.5016 0.2522 Na
0.1145 0.8855 0.5000 Na
0.5016 0.0020 0.7522 Na
0.8855 0.1145 0.0000 Na
0.1493 0.6432 0.6920 Ga
0.6432 0.1493 0.1920 Ga
0.3586 0.8516 0.3055 Ge
0.8516 0.3586 0.8055 Ge
0.0387 0.2537 0.4961 P
0.2537 0.0387 0.9961 P
0.4629 0.5384 0.4975 P
0.5384 0.4629 0.9975 P
0.7462 0.9623 0.4983 P
0.9623 0.7462 0.9983 P
0.0157 0.2637 0.6680 O
0.0668 0.4261 0.5186 O
0.0689 0.2231 0.9781 O
0.1382 0.7714 0.1767 O
0.2231 0.0689 0.4781 O
0.2249 0.8695 0.8226 O
0.2637 0.0157 0.1680 O
0.2789 0.5736 0.5192 O
0.3668 0.4857 0.8269 O
0.4261 0.0668 0.0186 O
0.4330 0.7268 0.4787 O
0.4857 0.3668 0.3269 O
0.5171 0.6399 0.1727 O
0.5684 0.9378 0.4778 O
0.5736 0.2789 0.0192 O
0.6399 0.5171 0.6727 O
0.7268 0.4330 0.9787 O
0.7340 0.9863 0.3313 O
0.7714 0.1382 0.6767 O
0.7826 0.9251 0.0204 O
0.8695 0.2249 0.3226 O
0.9251 0.7826 0.5204 O
0.9378 0.5684 0.9778 O
0.9863 0.7340 0.8313 O
```

***

Entry 2:
# SmSi
Computed X-ray diffraction stick pattern, Cu Kα X-rays. Input: a crystal structure in the Materials Project, relaxed with GGA-PBE.

Top 10 peaks for 10° ≤ 2θ ≤ 90°, low angle first:
26.65 deg, intensity 31; 27.49 deg, intensity 39; 29.63 deg, intensity 100; 31.73 deg, intensity 74; 32.56 deg, intensity 82; 35.34 deg, intensity 43; 36.44 deg, intensity 48; 40.11 deg, intensity 39; 51.54 deg, intensity 34; 57.96 deg, intensity 32

```
SmSi
1.0
8.1598 0.0000 0.0000
0.0000 3.9017 0.0000
0.0000 0.0000 5.8425
Sm Si
4 4
Direct
0.1796 0.2500 0.1145 Sm
0.3204 0.7500 0.6145 Sm
0.6796 0.2500 0.3855 Sm
0.8204 0.7500 0.8855 Sm
0.0366 0.2500 0.6252 Si
0.4634 0.7500 0.1252 Si
0.5366 0.2500 0.8748 Si
0.9634 0.7500 0.3748 Si
```

***

Entry 3:
# RbP
Computed X-ray diffraction stick pattern, Cu Kα X-rays. Input: a crystal structure in the Materials Project, relaxed with GGA-PBE.

Top 10 peaks for 10° ≤ 2θ ≤ 90°, low angle first:
22.15 deg, intensity 29; 25.35 deg, intensity 100; 35.54 deg, intensity 40; 36.78 deg, intensity 36; 42.82 deg, intensity 11; 45.20 deg, intensity 20; 52.07 deg, intensity 13; 57.91 deg, intensity 18; 59.62 deg, intensity 17; 65.43 deg, intensity 13

```
RbP
1.0
4.8878 0.0000 0.0000
-2.4439 4.2330 0.0000
0.0000 0.0000 12.5938
Rb P
3 3
Direct
0.0000 0.0000 0.0000 Rb
0.3333 0.6667 0.6667 Rb
0.6667 0.3333 0.3333 Rb
0.0000 0.0000 0.5000 P
0.3333 0.6667 0.1667 P
0.6667 0.3333 0.8333 P
```

***

Entry 4:
# Er6Te2Ru
Computed X-ray diffraction stick pattern, Cu Kα X-rays. Input: a crystal structure in the Materials Project, relaxed with GGA-PBE.

Top 10 peaks for 10° ≤ 2θ ≤ 90°, low angle first:
31.11 deg, intensity 100; 33.09 deg, intensity 60; 33.59 deg, intensity 63; 37.67 deg, intensity 34; 40.23 deg, intensity 34; 45.37 deg, intensity 21; 51.35 deg, intensity 14; 57.29 deg, intensity 25; 60.39 deg, intensity 17; 60.95 deg, intensity 28

```
Er6Te2Ru
1.0
8.2717 0.0000 0.0000
-4.1359 7.1635 0.0000
0.0000 0.0000 3.9982
Er Te Ru
6 2 1
Direct
0.0000 0.2392 0.0000 Er
0.0000 0.6082 0.5000 Er
0.2392 0.0000 0.0000 Er
0.3918 0.3918 0.5000 Er
0.6082 0.0000 0.5000 Er
0.7608 0.7608 0.0000 Er
0.3333 0.6667 0.0000 Te
0.6667 0.3333 0.0000 Te
0.0000 0.0000 0.5000 Ru
```

***

Entry 5:
# MgTe2Mo2W2Se4S2
Computed X-ray diffraction stick pattern, Cu Kα X-rays. Input: a crystal structure in the Materials Project, relaxed with GGA-PBE.

Top 10 peaks for 10° ≤ 2θ ≤ 90°, low angle first:
11.60 deg, intensity 100; 13.93 deg, intensity 20; 30.99 deg, intensity 38; 33.17 deg, intensity 13; 36.38 deg, intensity 70; 39.13 deg, intensity 14; 44.00 deg, intensity 40; 45.79 deg, intensity 15; 55.09 deg, intensity 24; 77.76 deg, intensity 11

```
MgTe2Mo2W2Se4S2
1.0
3.3341 0.0000 0.0000
1.6669 2.8875 0.0000
0.0006 0.0003 38.1413
Mg Te Mo W Se S
1 2 2 2 4 2
Direct
0.0000 0.0000 0.0000 Mg
0.9648 0.0388 0.1776 Te
0.9647 0.0388 0.2772 Te
0.2981 0.3722 0.2274 Mo
0.9647 0.0388 0.4154 Mo
0.2981 0.3722 0.6032 W
0.9647 0.0388 0.7911 W
0.2980 0.3721 0.3716 Se
0.2980 0.3721 0.4592 Se
0.2980 0.3721 0.7471 Se
0.2980 0.3721 0.8351 Se
0.9648 0.0388 0.5633 S
0.9647 0.0388 0.6431 S
```

***

Entry 6:
# Ce2Ge5Ir3
Computed X-ray diffraction stick pattern, Cu Kα X-rays. Input: a crystal structure in the Materials Project, relaxed with GGA-PBE.

Top 10 peaks for 10° ≤ 2θ ≤ 90°, low angle first:
24.03 deg, intensity 31; 31.53 deg, intensity 27; 33.59 deg, intensity 100; 34.21 deg, intensity 62; 34.83 deg, intensity 51; 38.80 deg, intensity 22; 42.44 deg, intensity 93; 46.23 deg, intensity 25; 54.73 deg, intensity 36; 60.79 deg, intensity 25

```
Ce2Ge5Ir3
1.0
-5.1346 5.9560 3.0477
5.1346 -5.9560 3.0477
5.1346 5.9560 -3.0477
Ce Ge Ir
4 10 6
Direct
0.1350 0.2271 0.3621 Ce
0.3650 0.7271 0.0921 Ce
0.6350 0.2729 0.9079 Ce
0.8650 0.7729 0.6379 Ce
0.0276 0.7500 0.2776 Ge
0.0987 0.6609 0.7596 Ge
0.2500 0.2500 0.0000 Ge
0.4013 0.1609 0.5623 Ge
0.4724 0.7500 0.7224 Ge
0.5276 0.2500 0.2776 Ge
0.5987 0.8391 0.4377 Ge
0.7500 0.7500 0.0000 Ge
0.9013 0.3391 0.2404 Ge
0.9724 0.2500 0.7224 Ge
0.1417 0.8904 0.0321 Ir
0.2500 0.7500 0.5000 Ir
0.3583 0.3904 0.7486 Ir
0.6417 0.6096 0.2514 Ir
0.7500 0.2500 0.5000 Ir
0.8583 0.1096 0.9679 Ir
```

***

Entry 7:
# Si2Bi2Rh3
Computed X-ray diffraction stick pattern, Cu Kα X-rays. Input: a crystal structure in the Materials Project, relaxed with GGA-PBE.

Top 10 peaks for 10° ≤ 2θ ≤ 90°, low angle first:
15.57 deg, intensity 25; 21.46 deg, intensity 22; 24.39 deg, intensity 21; 29.39 deg, intensity 38; 32.71 deg, intensity 30; 38.40 deg, intensity 100; 38.71 deg, intensity 64; 39.34 deg, intensity 31; 40.32 deg, intensity 37; 43.71 deg, intensity 33

```
Si2Bi2Rh3
1.0
5.7395 -4.1414 0.0000
5.7395 4.1414 0.0000
-4.5729 0.0000 5.6900
Si Bi Rh
4 4 6
Direct
0.2072 0.7794 0.6619 Si
0.2206 0.7928 0.3381 Si
0.7794 0.2072 0.6619 Si
0.7928 0.2206 0.3381 Si
0.2242 0.2242 0.2363 Bi
0.2741 0.2741 0.7575 Bi
0.7259 0.7259 0.2425 Bi
0.7758 0.7758 0.7637 Bi
0.0000 0.5000 0.0000 Rh
0.2487 0.7513 0.0000 Rh
0.4953 0.4953 0.2903 Rh
0.5000 0.0000 0.0000 Rh
0.5047 0.5047 0.7097 Rh
0.7513 0.2487 0.0000 Rh
```